1.
Calculated X-ray powder pattern of Lu3In3IrAu for Cu Kα, from the GGA-PBE geometry in OQMD.
Peak positions follow from Bragg's law for the DFT cell and can differ from measured ones.

Most intense lines, 5 to 70 degrees two-theta, in order of rising 2θ:
d [Å], 2θ (°), intensity
6.644, 13.33, 29
2.615, 34.29, 100
2.511, 35.76, 69
2.434, 36.94, 67
2.215, 40.74, 20
2.055, 44.07, 16
1.843, 49.46, 16
1.788, 51.09, 16
1.638, 56.16, 21
1.456, 63.93, 25
1.450, 64.25, 9
1.402, 66.71, 18

Cell and atoms:
Cell lengths 7.6716, 7.6716, 3.5753 Å; angles 90.00, 90.00, 120.00 degrees
Element x y z (fractional)
Lu 0.0958 0.3528 0.0000
Lu 0.2570 0.9042 0.0000
Lu 0.6472 0.7430 0.0000
In 0.4362 0.3355 0.5000
In 0.6645 0.1007 0.5000
In 0.8993 0.5638 0.5000
Ir 0.3333 0.6667 0.5000
Au 0.0000 0.0000 0.5000



2.
Calculated X-ray powder pattern of InIrAu3S4 for Cu Kα, from the GGA-PBE geometry in OQMD.
Peak positions follow from Bragg's law for the DFT cell and can differ from measured ones.

Most intense lines, 5 to 70 degrees two-theta, in order of rising 2θ:
d [Å], 2θ (°), intensity
6.054, 14.63, 54
3.495, 25.49, 70
3.027, 29.51, 75
2.707, 33.09, 24
2.140, 42.22, 100
2.018, 44.92, 16
1.825, 49.97, 34
1.748, 52.35, 22
1.679, 54.67, 10
1.513, 61.25, 16
1.389, 67.44, 14
1.354, 69.43, 29

Cell and atoms:
Cell lengths 6.0536, 6.0536, 6.0536 Å; angles 90.00, 90.00, 90.00 degrees
Element x y z (fractional)
In 0.0000 0.0000 0.0000
Ir 0.5000 0.5000 0.5000
Au 0.0000 0.5000 0.5000
Au 0.5000 0.0000 0.5000
Au 0.5000 0.5000 0.0000
S 0.2742 0.2742 0.2742
S 0.2742 0.7258 0.7258
S 0.7258 0.2742 0.7258
S 0.7258 0.7258 0.2742